(1)
For Pu4Al16Ni3, a DFT-relaxed cell (PBE, Alexandria) gives the simulated XRD peak list in this record (copper Kα).
Neutral-atom scattering factors, no anomalous dispersion.

Principal peaks in the range 2θ from 15° to 90°, low angle first:
2θ (°)  intensity
20.73  100
24.03  24
26.27  40
29.49  46
31.95  84
33.70  38
38.39  82
42.19  51
47.45  25
53.89  47

Structural model:
```
Pu4Al16Ni3
1.0
6.059 0.000 0.000
0.000 6.059 0.000
0.000 0.000 11.109
Pu Al Ni
4 16 3
Cartesian
0.000 3.029 2.115 Pu
0.000 3.029 8.993 Pu
3.029 0.000 2.115 Pu
3.029 0.000 8.993 Pu
0.000 0.000 2.220 Al
0.000 0.000 8.888 Al
1.347 1.347 0.000 Al
1.347 4.711 0.000 Al
1.502 1.502 4.223 Al
1.502 1.502 6.886 Al
1.502 4.556 4.223 Al
1.502 4.556 6.886 Al
3.029 3.029 2.425 Al
3.029 3.029 8.684 Al
4.556 1.502 4.223 Al
4.556 1.502 6.886 Al
4.556 4.556 4.223 Al
4.556 4.556 6.886 Al
4.711 1.347 0.000 Al
4.711 4.711 0.000 Al
0.000 3.029 5.554 Ni
3.029 0.000 5.554 Ni
3.029 3.029 0.000 Ni
```

***

(2)
For Ce4GeP3Rh12, a DFT-relaxed cell (PBE, Alexandria) gives the simulated XRD peak list in this record (copper Kα).
Neutral-atom scattering factors, no anomalous dispersion.

Principal peaks in the range 2θ from 15° to 90°, low angle first:
2θ (°)  intensity
27.91  9
34.36  100
39.89  71
49.39  3
57.68  47
65.27  2
68.89  38
72.43  16
79.31  2
86.03  8

Structural model:
```
Ce4GeP3Rh12
1.0
-4.520 4.520 4.520
4.520 -4.520 4.520
4.520 4.520 -4.520
Ce Ge P Rh
4 1 3 12
Cartesian
2.260 2.260 -2.260 Ce
2.260 -2.260 2.260 Ce
-2.260 2.260 2.260 Ce
2.260 2.260 2.260 Ce
0.000 0.000 0.000 Ge
4.520 0.000 0.000 P
0.000 4.520 0.000 P
0.000 0.000 4.520 P
2.338 0.000 0.000 Rh
6.703 0.000 0.000 Rh
4.520 2.260 0.000 Rh
4.520 0.000 2.260 Rh
0.000 2.338 0.000 Rh
0.000 0.000 2.338 Rh
2.260 4.520 0.000 Rh
2.260 0.000 4.520 Rh
0.000 6.703 0.000 Rh
0.000 0.000 6.703 Rh
0.000 4.520 2.260 Rh
0.000 2.260 4.520 Rh
```

***

(3)
For CrB2S, a DFT-relaxed cell (PBE, Alexandria) gives the simulated XRD peak list in this record (copper Kα).
Neutral-atom scattering factors, no anomalous dispersion.

Principal peaks in the range 2θ from 15° to 90°, low angle first:
2θ (°)  intensity
21.33  6
35.03  100
35.48  32
49.71  6
51.04  19
62.54  20
63.41  29
74.01  6
83.55  7
85.62  6

Structural model:
```
CrB2S
1.0
5.061 0.000 0.000
0.000 5.061 0.000
0.000 0.000 7.337
Cr B S
4 8 4
Cartesian
0.000 0.000 0.000 Cr
0.000 2.530 1.834 Cr
2.530 0.000 5.503 Cr
2.530 2.530 3.668 Cr
1.054 1.265 4.586 B
1.265 3.584 6.420 B
1.265 4.007 2.751 B
1.476 1.265 0.917 B
3.584 3.796 0.917 B
3.796 1.054 2.751 B
3.796 1.476 6.420 B
4.007 3.796 4.586 B
0.000 0.000 3.668 S
0.000 2.530 5.503 S
2.530 0.000 1.834 S
2.530 2.530 0.000 S
```

***

(4)
For Pr2Cd3Au, a DFT-relaxed cell (PBE, Alexandria) gives the simulated XRD peak list in this record (copper Kα).
Neutral-atom scattering factors, no anomalous dispersion.

Principal peaks in the range 2θ from 15° to 90°, low angle first:
2θ (°)  intensity
32.68  100
35.87  84
44.33  10
49.30  30
51.70  10
62.46  29
64.51  44
76.04  9
85.24  12
87.09  13

Structural model:
```
Pr2Cd3Au
1.0
3.536 0.000 0.000
0.000 5.005 0.000
0.000 0.000 8.675
Pr Cd Au
2 3 1
Cartesian
0.000 0.000 0.000 Pr
0.000 2.502 4.059 Pr
1.768 0.000 5.645 Cd
1.768 2.502 1.280 Cd
1.768 2.502 7.052 Cd
1.768 0.000 2.762 Au
```